Entry 1:
The following is a computed powder diffractogram of Dy5ThRh6. It was derived from DFT lattice parameters and positions (PBE), using Cu Kα, 1.54184 Å.
No peak broadening, texture or thermal motion is included.

Cell and atoms:
Cell lengths 4.8411, 7.0437, 7.6464 Å; angles 90.00, 108.34, 90.00 degrees
Positions (direct):
Dy 0.0000 0.0000 0.0000
Dy 0.3292 0.5000 0.6585
Dy 0.3323 0.0000 0.6648
Dy 0.6677 0.0000 0.3352
Dy 0.6708 0.5000 0.3415
Th 0.0000 0.5000 0.0000
Rh 0.1644 0.2499 0.3283
Rh 0.1644 0.7501 0.3283
Rh 0.5000 0.2535 0.0000
Rh 0.5000 0.7465 0.0000
Rh 0.8356 0.2499 0.6717
Rh 0.8356 0.7501 0.6717

Most intense lines, 2θ = 5–70°, in order of rising 2θ:
2θ = 25.29°, rel. 3, hkl 0 2 0; 2θ = 26.04°, rel. 6, hkl 1 0 1; 2θ = 36.61°, rel. 100, hkl 1 2 1; 2θ = 37.15°, rel. 48, hkl 2 0 -1; 2θ = 51.93°, rel. 9, hkl 0 4 0; 2θ = 53.50°, rel. 8, hkl 2 0 2; 2θ = 53.61°, rel. 8, hkl 2 0 -4; 2θ = 65.56°, rel. 18, hkl 2 4 -1; 2θ = 66.61°, rel. 26, hkl 3 2 0; 2θ = 66.68°, rel. 8, hkl 1 2 -5


Entry 2:
The following is a computed powder diffractogram of Dy6Tl3Rh. It was derived from DFT lattice parameters and positions (PBE), using Cu Kα, 1.54184 Å.
No peak broadening, texture or thermal motion is included.

Cell and atoms:
Cell lengths 9.0148, 11.6781, 5.2261 Å; angles 90.00, 90.00, 90.00 degrees
Positions (direct):
Dy 0.0105 0.2361 0.0000
Dy 0.1570 0.0831 0.5000
Dy 0.1877 0.4168 0.5000
Dy 0.3123 0.9168 0.0000
Dy 0.3430 0.5831 0.0000
Dy 0.4895 0.7361 0.5000
Dy 0.5105 0.2639 0.5000
Dy 0.6570 0.4169 0.0000
Dy 0.6877 0.0832 0.0000
Dy 0.8123 0.5832 0.5000
Dy 0.8430 0.9169 0.5000
Dy 0.9895 0.7639 0.0000
Tl 0.0000 0.5000 0.0000
Tl 0.1556 0.7384 0.5000
Tl 0.3444 0.2384 0.0000
Tl 0.5000 0.0000 0.5000
Tl 0.6556 0.7616 0.0000
Tl 0.8444 0.2616 0.5000
Rh 0.0000 0.0000 0.0000
Rh 0.5000 0.5000 0.5000

Most intense lines, 2θ = 5–70°, in order of rising 2θ:
2θ = 30.31°, rel. 100, hkl 1 3 1; 2θ = 34.32°, rel. 42, hkl 0 0 2; 2θ = 34.43°, rel. 79, hkl 3 0 1; 2θ = 36.65°, rel. 25, hkl 2 4 0; 2θ = 46.45°, rel. 19, hkl 2 3 2; 2θ = 46.59°, rel. 17, hkl 4 3 0; 2θ = 46.71°, rel. 18, hkl 0 6 0; 2θ = 51.10°, rel. 16, hkl 2 4 2; 2θ = 59.15°, rel. 23, hkl 0 6 2; 2θ = 61.53°, rel. 15, hkl 3 0 3